[1]
This entry pairs a crystal structure of Na3NpO10 with its theoretical X-ray powder pattern. Radiation: Cu Ka. Structure: a cell relaxed with GGA-PBE.
Kinematic intensities with the Lorentz-polarization factor, no thermal factor.

Top 8 peaks for 10 to 90 degrees two-theta, low angle first:
12.92°, I 1000, hkl 0 0 1; 15.68°, I 317, hkl 1 0 0; 16.24°, I 585, hkl 0 1 0; 17.19°, I 421, hkl 0 1 1; 20.64°, I 448, hkl 1 0 1; 21.60°, I 533, hkl 1 1 0; 29.73°, I 270, hkl 1 -1 1; 30.77°, I 253, hkl -1 1 2

Structural model:
Cell: 5.6733 5.7881 7.2445 Å, 71.17 89.90 85.09°
Space group P-1 (No. 2)
Unique sites:
Na  0.0000  0.0000  0.0000 x1
Na  0.0037  0.3099  0.2973 x2
Np  0.5000  0.5000  0.0000 x1
O  0.1124  0.8439  0.3655 x2
O  0.2319  0.3250  0.9958 x2
O  0.3139  0.7910  0.8651 x2
O  0.3310  0.7627  0.3278 x2
O  0.3365  0.5333  0.3043 x2



[2]
This entry pairs a crystal structure of Hf2TiZn4 with its theoretical X-ray powder pattern. Radiation: Cu Ka. Structure: a cell relaxed with GGA-PBE.
Kinematic intensities with the Lorentz-polarization factor, no thermal factor.

Top 8 peaks for 10 to 90 degrees two-theta, low angle first:
14.31°, I 413, hkl 0 0 2; 31.25°, I 622, hkl 1 1 2; 39.48°, I 580, hkl 2 0 0; 40.37°, I 1000, hkl 1 1 4; 57.06°, I 193, hkl 2 2 0; 60.48°, I 162, hkl 2 0 6; 66.50°, I 147, hkl 3 1 2; 72.20°, I 345, hkl 3 1 4

Structural model:
Cell: 4.5655 4.5655 12.3797 Å, 90.00 90.00 90.00°
Space group I4/mmm (No. 139)
Unique sites:
Hf  0.0000  0.0000  0.2473 x4
Ti  0.0000  0.0000  0.5000 x2
Zn  0.0000  0.5000  0.1074 x8



Repeat the second record exactly.
This entry pairs a crystal structure of Hf2TiZn4 with its theoretical X-ray powder pattern. Radiation: Cu Ka. Structure: a cell relaxed with GGA-PBE.
Kinematic intensities with the Lorentz-polarization factor, no thermal factor.

Top 8 peaks for 10 to 90 degrees two-theta, low angle first:
14.31°, I 413, hkl 0 0 2; 31.25°, I 622, hkl 1 1 2; 39.48°, I 580, hkl 2 0 0; 40.37°, I 1000, hkl 1 1 4; 57.06°, I 193, hkl 2 2 0; 60.48°, I 162, hkl 2 0 6; 66.50°, I 147, hkl 3 1 2; 72.20°, I 345, hkl 3 1 4

Structural model:
Cell: 4.5655 4.5655 12.3797 Å, 90.00 90.00 90.00°
Space group I4/mmm (No. 139)
Unique sites:
Hf  0.0000  0.0000  0.2473 x4
Ti  0.0000  0.0000  0.5000 x2
Zn  0.0000  0.5000  0.1074 x8